The following is a simulated powder XRD pattern of Li4Mn5Cu3O16. It was derived from the GGA+U geometry in Alexandria, using CuKα.
Intensities are scaled so that the largest is 100.

Most intense lines, 2θ = 10–90°, sorted by position:
Position (°2θ)	Rel. int.
18.8	100
19.8	54
20.1	77
37.0	47
45.8	35
63.7	41

Cell and atoms:
a b c (Å): 5.846 5.846 9.434
angles (deg): 91.43 91.43 59.68
Positions (direct):
Li: 0.000 0.000 0.000
Li: 0.003 0.003 0.505
Li: 0.336 0.336 0.410
Li: 0.670 0.670 0.908
Mn: 0.177 0.177 0.723
Mn: 0.344 0.344 0.992
Mn: 0.344 0.835 0.223
Mn: 0.674 0.674 0.498
Mn: 0.835 0.344 0.223
Cu: 0.174 0.667 0.720
Cu: 0.667 0.174 0.720
Cu: 0.835 0.835 0.221
O: 0.007 0.007 0.314
O: 0.012 0.012 0.812
O: 0.043 0.476 0.855
O: 0.167 0.167 0.114
O: 0.182 0.673 0.104
O: 0.333 0.333 0.619
O: 0.341 0.849 0.603
O: 0.476 0.043 0.855
O: 0.483 0.483 0.860
O: 0.511 0.963 0.356
O: 0.523 0.523 0.345
O: 0.666 0.666 0.118
O: 0.673 0.182 0.104
O: 0.838 0.838 0.596
O: 0.849 0.341 0.603
O: 0.963 0.511 0.356